1.
Starting from a crystal structure in Alexandria, relaxed with PBE, the XRD peak list of V3Fe5 was simulated for Cu Kα X-rays.
Neutral-atom scattering factors, no anomalous dispersion.

Atomic structure:
```
data_V3Fe5
_space_group_name_H-M_alt 'I m -3 m'
_space_group_IT_number 229
_space_group_name_Hall '-I 4 2 3'
_cell_length_a 5.7273
_cell_length_b 5.7273
_cell_length_c 5.7273
_cell_angle_alpha 90.00
_cell_angle_beta 90.00
_cell_angle_gamma 90.00
loop_
_atom_site_label
_atom_site_type_symbol
_atom_site_fract_x
_atom_site_fract_y
_atom_site_fract_z
V1 V 0.0000 0.0000 0.5000
Fe1 Fe 0.0000 0.0000 0.0000
Fe2 Fe 0.2500 0.2500 0.2500
```

Top 4 peaks for 10° ≤ 2θ ≤ 90°, low angle first:
h k l, 2θ/deg, I_rel
2 0 0, 31.23, 1
2 2 0, 44.76, 100
4 0 0, 65.15, 15
4 2 2, 82.51, 28


2.
Starting from a crystal structure in Alexandria, relaxed with PBE, the XRD peak list of V3Fe was simulated for Cu Kα X-rays.
Neutral-atom scattering factors, no anomalous dispersion.

Atomic structure:
```
data_V3Fe
_space_group_name_H-M_alt 'P 4/m m m'
_space_group_IT_number 123
_space_group_name_Hall '-P 4 2'
_cell_length_a 4.1304
_cell_length_b 4.1304
_cell_length_c 2.9060
_cell_angle_alpha 90.00
_cell_angle_beta 90.00
_cell_angle_gamma 90.00
loop_
_atom_site_label
_atom_site_type_symbol
_atom_site_fract_x
_atom_site_fract_y
_atom_site_fract_z
V1 V 0.0000 0.0000 0.0000
V2 V 0.0000 0.5000 0.5000
Fe1 Fe 0.5000 0.5000 0.0000
```

Top 7 peaks for 10° ≤ 2θ ≤ 90°, low angle first:
h k l, 2θ/deg, I_rel
1 0 0, 21.51, 1
2 0 0, 43.84, 50
1 1 1, 43.95, 100
2 2 0, 63.73, 15
0 0 2, 64.09, 7
3 1 1, 80.65, 28
2 0 2, 80.89, 14


3.
Starting from a crystal structure in Alexandria, relaxed with PBE, the XRD peak list of V15Fe4W was simulated for Cu Kα X-rays.
Neutral-atom scattering factors, no anomalous dispersion.

Atomic structure:
```
data_V15Fe4W
_space_group_name_H-M_alt 'P 4/m m m'
_space_group_IT_number 123
_space_group_name_Hall '-P 4 2'
_cell_length_a 4.1614
_cell_length_b 4.1614
_cell_length_c 14.7176
_cell_angle_alpha 90.00
_cell_angle_beta 90.00
_cell_angle_gamma 90.00
loop_
_atom_site_label
_atom_site_type_symbol
_atom_site_fract_x
_atom_site_fract_y
_atom_site_fract_z
V1 V 0.0000 0.0000 0.0000
V2 V 0.0000 0.0000 0.2046
V3 V 0.0000 0.0000 0.4020
V4 V 0.0000 0.5000 0.1056
V5 V 0.0000 0.5000 0.3031
V6 V 0.0000 0.5000 0.5000
Fe1 Fe 0.5000 0.5000 0.2052
Fe2 Fe 0.5000 0.5000 0.4015
W1 W 0.5000 0.5000 0.0000
```

Top 10 peaks for 10° ≤ 2θ ≤ 90°, low angle first:
h k l, 2θ/deg, I_rel
0 0 2, 12.03, 3
1 0 0, 21.35, 4
1 0 1, 22.20, 4
1 0 2, 24.58, 3
1 0 3, 28.12, 2
0 0 5, 30.37, 3
1 1 4, 39.20, 2
2 0 0, 43.49, 100
2 2 0, 63.19, 15
3 1 5, 79.83, 29


4.
Starting from a crystal structure in Alexandria, relaxed with PBE, the XRD peak list of YVFe was simulated for Cu Kα X-rays.
Neutral-atom scattering factors, no anomalous dispersion.

Atomic structure:
```
data_YVFe
_space_group_name_H-M_alt 'F m m m'
_space_group_IT_number 69
_space_group_name_Hall '-F 2 2'
_cell_length_a 5.5670
_cell_length_b 7.7818
_cell_length_c 9.7251
_cell_angle_alpha 90.00
_cell_angle_beta 90.00
_cell_angle_gamma 90.00
loop_
_atom_site_label
_atom_site_type_symbol
_atom_site_fract_x
_atom_site_fract_y
_atom_site_fract_z
Y1 Y 0.0000 0.1879 0.0000
V1 V 0.0000 0.0000 0.3048
Fe1 Fe 0.2500 0.2500 0.2500
```

Top 10 peaks for 10° ≤ 2θ ≤ 90°, low angle first:
h k l, 2θ/deg, I_rel
0 2 0, 22.86, 31
2 0 0, 32.16, 16
1 1 3, 34.01, 49
0 0 4, 36.97, 41
2 0 2, 37.22, 39
1 3 1, 39.43, 54
0 2 4, 43.91, 25
2 2 2, 44.13, 100
1 3 5, 61.91, 23
2 0 6, 66.79, 15


5.
Starting from a crystal structure in Alexandria, relaxed with PBE, the XRD peak list of Fe3W was simulated for Cu Kα X-rays.
Neutral-atom scattering factors, no anomalous dispersion.

Atomic structure:
```
data_Fe3W
_space_group_name_H-M_alt 'P 63/m m c'
_space_group_IT_number 194
_space_group_name_Hall '-P 6c 2c'
_cell_length_a 5.1244
_cell_length_b 5.1244
_cell_length_c 4.1302
_cell_angle_alpha 90.00
_cell_angle_beta 90.00
_cell_angle_gamma 120.00
loop_
_atom_site_label
_atom_site_type_symbol
_atom_site_fract_x
_atom_site_fract_y
_atom_site_fract_z
Fe1 Fe 0.1607 0.3214 0.2500
W1 W 0.3333 0.6667 0.7500
```

Top 10 peaks for 10° ≤ 2θ ≤ 90°, low angle first:
h k l, 2θ/deg, I_rel
1 0 0, 20.01, 13
1 0 1, 29.55, 44
1 1 0, 35.02, 18
2 0 0, 40.66, 25
0 0 2, 43.84, 27
2 0 1, 46.46, 100
2 1 1, 59.48, 11
2 0 2, 61.32, 14
2 2 0, 73.99, 16
2 0 3, 82.45, 18


6.
Starting from a crystal structure in Alexandria, relaxed with PBE, the XRD peak list of Fe5W4 was simulated for Cu Kα X-rays.
Neutral-atom scattering factors, no anomalous dispersion.

Atomic structure:
```
data_Fe5W4
_space_group_name_H-M_alt 'I 4/m m m'
_space_group_IT_number 139
_space_group_name_Hall '-I 4 2'
_cell_length_a 7.9872
_cell_length_b 7.9872
_cell_length_c 3.6568
_cell_angle_alpha 90.00
_cell_angle_beta 90.00
_cell_angle_gamma 90.00
loop_
_atom_site_label
_atom_site_type_symbol
_atom_site_fract_x
_atom_site_fract_y
_atom_site_fract_z
Fe1 Fe 0.0000 0.0000 0.0000
Fe2 Fe 0.1622 0.1622 0.5000
W1 W 0.0000 0.3088 0.0000
```

Top 10 peaks for 10° ≤ 2θ ≤ 90°, low angle first:
h k l, 2θ/deg, I_rel
1 1 0, 15.69, 10
2 2 0, 31.69, 20
2 1 1, 35.12, 27
3 0 1, 41.98, 100
3 3 0, 48.35, 30
0 0 2, 49.88, 16
5 2 1, 68.24, 14
3 3 2, 72.00, 18
6 3 1, 85.83, 18
3 0 3, 88.15, 12


Please write out number 4 again, unchanged.
Starting from a crystal structure in Alexandria, relaxed with PBE, the XRD peak list of YVFe was simulated for Cu Kα X-rays.
Neutral-atom scattering factors, no anomalous dispersion.

Atomic structure:
```
data_YVFe
_space_group_name_H-M_alt 'F m m m'
_space_group_IT_number 69
_space_group_name_Hall '-F 2 2'
_cell_length_a 5.5670
_cell_length_b 7.7818
_cell_length_c 9.7251
_cell_angle_alpha 90.00
_cell_angle_beta 90.00
_cell_angle_gamma 90.00
loop_
_atom_site_label
_atom_site_type_symbol
_atom_site_fract_x
_atom_site_fract_y
_atom_site_fract_z
Y1 Y 0.0000 0.1879 0.0000
V1 V 0.0000 0.0000 0.3048
Fe1 Fe 0.2500 0.2500 0.2500
```

Top 10 peaks for 10° ≤ 2θ ≤ 90°, low angle first:
h k l, 2θ/deg, I_rel
0 2 0, 22.86, 31
2 0 0, 32.16, 16
1 1 3, 34.01, 49
0 0 4, 36.97, 41
2 0 2, 37.22, 39
1 3 1, 39.43, 54
0 2 4, 43.91, 25
2 2 2, 44.13, 100
1 3 5, 61.91, 23
2 0 6, 66.79, 15